[1]
The following is a simulated powder XRD pattern of MgSn2P2O9. It was derived from DFT lattice parameters and positions (PBE), using a wavelength of 1.5418 Å.
No peak broadening, texture or thermal motion is included.

```
data_MgSn2P2O9
_space_group_name_H-M_alt 'P 1'
_space_group_IT_number 1
_cell_length_a 16.0788
_cell_length_b 6.4870
_cell_length_c 8.0785
_cell_angle_alpha 90.00
_cell_angle_beta 90.00
_cell_angle_gamma 90.00
loop_
_space_group_symop_operation_xyz
'x,y,z'
loop_
_atom_site_label
_atom_site_type_symbol
_atom_site_fract_x
_atom_site_fract_y
_atom_site_fract_z
Mg1 Mg 0.1926 0.2500 0.0074
Mg2 Mg 0.3074 0.7500 0.5074
Mg3 Mg 0.6926 0.2500 0.4926
Mg4 Mg 0.8074 0.7500 0.9926
Sn1 Sn 0.0000 0.0000 0.0000
Sn2 Sn 0.0000 0.5000 0.0000
Sn3 Sn 0.1152 0.2500 0.3769
Sn4 Sn 0.3848 0.7500 0.8769
Sn5 Sn 0.5000 0.0000 0.5000
Sn6 Sn 0.5000 0.5000 0.5000
Sn7 Sn 0.6152 0.2500 0.1231
Sn8 Sn 0.8848 0.7500 0.6231
P1 P 0.0655 0.7500 0.3927
P2 P 0.2080 0.7500 0.8982
P3 P 0.2920 0.2500 0.3982
P4 P 0.4345 0.2500 0.8927
P5 P 0.5655 0.7500 0.1073
P6 P 0.7080 0.7500 0.6018
P7 P 0.7920 0.2500 0.1018
P8 P 0.9345 0.2500 0.6073
O1 O 0.0054 0.7500 0.5428
O2 O 0.0165 0.7500 0.2287
O3 O 0.0836 0.2500 0.1377
O4 O 0.1262 0.5643 0.4064
O5 O 0.1262 0.9357 0.4064
O6 O 0.1567 0.5486 0.9218
O7 O 0.1567 0.9514 0.9218
O8 O 0.2183 0.2500 0.5284
O9 O 0.2459 0.2500 0.2282
O10 O 0.2541 0.7500 0.7282
O11 O 0.2817 0.7500 0.0284
O12 O 0.3433 0.0486 0.4218
O13 O 0.3433 0.4514 0.4218
O14 O 0.3738 0.0643 0.9064
O15 O 0.3738 0.4357 0.9064
O16 O 0.4164 0.7500 0.6377
O17 O 0.4835 0.2500 0.7287
O18 O 0.4946 0.2500 0.0428
O19 O 0.5054 0.7500 0.9572
O20 O 0.5165 0.7500 0.2713
O21 O 0.5836 0.2500 0.3623
O22 O 0.6262 0.5643 0.0936
O23 O 0.6262 0.9357 0.0936
O24 O 0.6567 0.5486 0.5782
O25 O 0.6567 0.9514 0.5782
O26 O 0.7183 0.2500 0.9716
O27 O 0.7459 0.2500 0.2718
O28 O 0.7541 0.7500 0.7718
O29 O 0.7817 0.7500 0.4716
O30 O 0.8433 0.0486 0.0782
O31 O 0.8433 0.4514 0.0782
O32 O 0.8738 0.0643 0.5936
O33 O 0.8738 0.4357 0.5936
O34 O 0.9164 0.7500 0.8623
O35 O 0.9835 0.2500 0.7713
O36 O 0.9946 0.2500 0.4572
```

Peak list (8 most intense, 2θ = 5–70°, low angle first)
2θ/deg, I_rel, hkl
11.0, 684, 2 0 0
15.6, 735, 2 0 1
17.5, 813, 0 1 1
19.9, 366, 3 0 1
22.0, 523, 0 0 2
22.7, 563, 1 0 2
29.9, 777, 5 0 1
30.2, 1000, 1 2 1



[2]
The following is a simulated powder XRD pattern of MgSnP2O7. It was derived from DFT lattice parameters and positions (PBE), using a wavelength of 1.5418 Å.
No peak broadening, texture or thermal motion is included.

```
data_MgSnP2O7
_space_group_name_H-M_alt 'P 1'
_space_group_IT_number 1
_cell_length_a 6.3334
_cell_length_b 6.7569
_cell_length_c 6.9895
_cell_angle_alpha 86.90
_cell_angle_beta 85.43
_cell_angle_gamma 68.22
loop_
_space_group_symop_operation_xyz
'x,y,z'
loop_
_atom_site_label
_atom_site_type_symbol
_atom_site_fract_x
_atom_site_fract_y
_atom_site_fract_z
Mg1 Mg 0.1447 0.3222 0.3400
Mg2 Mg 0.8553 0.6778 0.6600
Sn1 Sn 0.2429 0.8728 0.8559
Sn2 Sn 0.7571 0.1272 0.1441
P1 P 0.2750 0.7699 0.3985
P2 P 0.3080 0.3376 0.8635
P3 P 0.6920 0.6624 0.1365
P4 P 0.7250 0.2301 0.6015
O1 O 0.1258 0.5571 0.8317
O2 O 0.1300 0.6296 0.4335
O3 O 0.1475 0.0008 0.3282
O4 O 0.2740 0.1695 0.7466
O5 O 0.3495 0.2772 0.0781
O6 O 0.4162 0.7656 0.5708
O7 O 0.4520 0.6476 0.2233
O8 O 0.5480 0.3524 0.7767
O9 O 0.5838 0.2344 0.4292
O10 O 0.6505 0.7228 0.9219
O11 O 0.7260 0.8305 0.2534
O12 O 0.8525 0.9992 0.6718
O13 O 0.8700 0.3704 0.5665
O14 O 0.8742 0.4429 0.1683
```

Peak list (8 most intense, 2θ = 5–70°, low angle first)
2θ/deg, I_rel, hkl
16.4, 320, 1 1 0
20.4, 380, 1 0 -1
26.8, 669, 1 2 0
28.4, 223, 0 2 0
29.0, 1000, 1 0 2
30.5, 513, 2 0 0
30.7, 622, 1 0 -2
38.1, 216, 0 2 2



[3]
The following is a simulated powder XRD pattern of MgSn8P4O18. It was derived from DFT lattice parameters and positions (PBE), using a wavelength of 1.5418 Å.
No peak broadening, texture or thermal motion is included.

```
data_MgSn8P4O18
_space_group_name_H-M_alt 'P 1'
_space_group_IT_number 1
_cell_length_a 7.5997
_cell_length_b 8.3427
_cell_length_c 10.0420
_cell_angle_alpha 74.64
_cell_angle_beta 72.85
_cell_angle_gamma 62.95
loop_
_space_group_symop_operation_xyz
'x,y,z'
loop_
_atom_site_label
_atom_site_type_symbol
_atom_site_fract_x
_atom_site_fract_y
_atom_site_fract_z
Mg1 Mg 0.0000 0.0000 0.0000
Sn1 Sn 0.0079 0.6837 0.9287
Sn2 Sn 0.2351 0.9221 0.6002
Sn3 Sn 0.2529 0.4858 0.5852
Sn4 Sn 0.4577 0.3373 0.9260
Sn5 Sn 0.5423 0.6627 0.0740
Sn6 Sn 0.7471 0.5142 0.4148
Sn7 Sn 0.7649 0.0779 0.3998
Sn8 Sn 0.9921 0.3163 0.0713
P1 P 0.0767 0.6989 0.2932
P2 P 0.4920 0.9511 0.8212
P3 P 0.5080 0.0489 0.1788
P4 P 0.9233 0.3011 0.7068
O1 O 0.0201 0.0952 0.7759
O2 O 0.0252 0.4107 0.7339
O3 O 0.0390 0.6976 0.4548
O4 O 0.1806 0.6796 0.7162
O5 O 0.2986 0.1838 0.1444
O6 O 0.3033 0.6142 0.2296
O7 O 0.3341 0.8996 0.9509
O8 O 0.4556 0.1526 0.8095
O9 O 0.4684 0.9208 0.6834
O10 O 0.5316 0.0792 0.3166
O11 O 0.5444 0.8474 0.1905
O12 O 0.6659 0.1004 0.0491
O13 O 0.6967 0.3858 0.7704
O14 O 0.7014 0.8162 0.8556
O15 O 0.8194 0.3204 0.2838
O16 O 0.9610 0.3024 0.5452
O17 O 0.9748 0.5893 0.2661
O18 O 0.9799 0.9048 0.2241
```

Peak list (8 most intense, 2θ = 5–70°, low angle first)
2θ/deg, I_rel, hkl
17.8, 400, 1 0 -1
24.6, 850, 0 2 1
26.7, 1000, 2 0 1
28.0, 755, 2 2 0
28.7, 465, 1 0 3
30.3, 580, 2 0 -1
30.7, 576, 1 2 3
35.6, 480, 1 1 -3



[4]
The following is a simulated powder XRD pattern of Sr2MgZn2Sn2P4O16. It was derived from DFT lattice parameters and positions (PBE), using a wavelength of 1.5418 Å.
No peak broadening, texture or thermal motion is included.

```
data_Sr2MgZn2Sn2P4O16
_space_group_name_H-M_alt 'P 1'
_space_group_IT_number 1
_cell_length_a 6.3659
_cell_length_b 7.7230
_cell_length_c 9.2518
_cell_angle_alpha 112.85
_cell_angle_beta 96.29
_cell_angle_gamma 106.13
loop_
_space_group_symop_operation_xyz
'x,y,z'
loop_
_atom_site_label
_atom_site_type_symbol
_atom_site_fract_x
_atom_site_fract_y
_atom_site_fract_z
Sr1 Sr 0.1966 0.3020 0.4393
Sr2 Sr 0.8034 0.6980 0.5607
Mg1 Mg 0.5000 0.0000 0.5000
Zn1 Zn 0.0910 0.6911 0.9288
Zn2 Zn 0.9090 0.3089 0.0712
Sn1 Sn 0.4983 0.2955 0.9745
Sn2 Sn 0.5017 0.7045 0.0255
P1 P 0.0023 0.2424 0.7601
P2 P 0.3873 0.8042 0.6973
P3 P 0.6127 0.1958 0.3027
P4 P 0.9977 0.7576 0.2399
O1 O 0.0831 0.1949 0.9077
O2 O 0.1129 0.5977 0.1768
O3 O 0.1478 0.7009 0.7129
O4 O 0.1750 0.9502 0.3791
O5 O 0.2146 0.3213 0.7080
O6 O 0.4002 0.6997 0.5174
O7 O 0.4107 0.0226 0.7247
O8 O 0.4215 0.2138 0.1964
O9 O 0.5785 0.7862 0.8036
O10 O 0.5893 0.9774 0.2753
O11 O 0.5998 0.3003 0.4826
O12 O 0.7854 0.6787 0.2920
O13 O 0.8250 0.0498 0.6209
O14 O 0.8522 0.2991 0.2871
O15 O 0.8871 0.4023 0.8232
O16 O 0.9169 0.8051 0.0923
```

Peak list (8 most intense, 2θ = 5–70°, low angle first)
2θ/deg, I_rel, hkl
10.7, 352, 0 0 1
19.7, 478, 0 1 -2
23.0, 351, 1 0 -2
26.7, 1000, 0 2 0
29.4, 475, 2 0 -1
30.9, 959, 2 -1 1
31.3, 457, 1 1 -3
42.7, 349, 1 0 -4



[5]
The following is a simulated powder XRD pattern of Sr2MgZn2Sn2P4O16. It was derived from DFT lattice parameters and positions (PBE), using a wavelength of 1.5418 Å.
No peak broadening, texture or thermal motion is included.

```
data_Sr2MgZn2Sn2P4O16
_space_group_name_H-M_alt 'P 1'
_space_group_IT_number 1
_cell_length_a 5.7573
_cell_length_b 8.2164
_cell_length_c 9.3793
_cell_angle_alpha 69.55
_cell_angle_beta 78.92
_cell_angle_gamma 86.25
loop_
_space_group_symop_operation_xyz
'x,y,z'
loop_
_atom_site_label
_atom_site_type_symbol
_atom_site_fract_x
_atom_site_fract_y
_atom_site_fract_z
Sr1 Sr 0.0000 0.0000 0.0000
Sr2 Sr 0.3370 0.5743 0.9427
Mg1 Mg 0.9632 0.4035 0.7896
Zn1 Zn 0.1432 0.0891 0.3863
Zn2 Zn 0.3243 0.3502 0.3770
Sn1 Sn 0.5761 0.9591 0.5047
Sn2 Sn 0.7477 0.5971 0.4014
P1 P 0.3938 0.8054 0.2089
P2 P 0.5141 0.2195 0.7110
P3 P 0.8044 0.3460 0.1741
P4 P 0.9570 0.7481 0.7228
O1 O 0.0003 0.8125 0.8496
O2 O 0.1639 0.6225 0.6968
O3 O 0.2057 0.9307 0.2551
O4 O 0.2685 0.2530 0.7985
O5 O 0.3388 0.7922 0.0600
O6 O 0.3850 0.6176 0.3398
O7 O 0.5156 0.0321 0.7070
O8 O 0.5447 0.3861 0.1555
O9 O 0.5518 0.3458 0.5375
O10 O 0.6510 0.8646 0.1941
O11 O 0.7183 0.2449 0.7879
O12 O 0.7318 0.6312 0.7683
O13 O 0.8181 0.1662 0.3082
O14 O 0.9102 0.4910 0.2155
O15 O 0.9378 0.9018 0.5680
O16 O 0.9606 0.3343 0.0233
```

Peak list (8 most intense, 2θ = 5–70°, low angle first)
2θ/deg, I_rel, hkl
10.2, 283, 0 0 1
17.1, 162, 1 0 1
25.1, 1000, 1 1 -1
29.3, 222, 1 -1 2
31.7, 293, 1 -2 1
33.8, 251, 2 -1 0
35.7, 223, 1 3 1
35.9, 192, -1 1 3



[6]
The following is a simulated powder XRD pattern of Sr2MgZn2Sn2P4O16. It was derived from DFT lattice parameters and positions (PBE), using a wavelength of 1.5418 Å.
No peak broadening, texture or thermal motion is included.

```
data_Sr2MgZn2Sn2P4O16
_space_group_name_H-M_alt 'P 1'
_space_group_IT_number 1
_cell_length_a 5.2654
_cell_length_b 8.3886
_cell_length_c 9.8311
_cell_angle_alpha 73.25
_cell_angle_beta 80.90
_cell_angle_gamma 88.12
loop_
_space_group_symop_operation_xyz
'x,y,z'
loop_
_atom_site_label
_atom_site_type_symbol
_atom_site_fract_x
_atom_site_fract_y
_atom_site_fract_z
Sr1 Sr 0.0000 0.0000 0.0000
Sr2 Sr 0.2109 0.4904 0.9893
Mg1 Mg 0.8306 0.9069 0.3672
Zn1 Zn 0.0480 0.3374 0.6259
Zn2 Zn 0.1426 0.3398 0.3788
Sn1 Sn 0.3522 0.8818 0.6474
Sn2 Sn 0.6753 0.5290 0.4477
P1 P 0.3629 0.7734 0.2230
P2 P 0.5071 0.1976 0.7818
P3 P 0.6871 0.2774 0.2274
P4 P 0.8473 0.6890 0.7263
O1 O 0.0037 0.7674 0.8165
O2 O 0.1654 0.9053 0.2536
O3 O 0.3174 0.6059 0.3511
O4 O 0.3224 0.7431 0.0815
O5 O 0.3604 0.2408 0.9130
O6 O 0.3797 0.0281 0.7870
O7 O 0.4002 0.3236 0.2136
O8 O 0.4527 0.3306 0.6393
O9 O 0.5557 0.6716 0.7903
O10 O 0.6416 0.8361 0.2223
O11 O 0.7024 0.1270 0.3595
O12 O 0.7994 0.1742 0.7822
O13 O 0.8209 0.4312 0.2572
O14 O 0.8394 0.2574 0.0875
O15 O 0.8660 0.8145 0.5734
O16 O 0.9735 0.5207 0.7285
```

Peak list (8 most intense, 2θ = 5–70°, low angle first)
2θ/deg, I_rel, hkl
22.1, 345, 0 2 0
24.8, 1000, 0 2 2
25.0, 450, 1 1 -1
27.6, 283, 1 0 -2
28.3, 685, 1 -1 2
30.7, 373, 1 -2 1
31.2, 327, 1 0 3
33.4, 290, 1 2 3



[7]
The following is a simulated powder XRD pattern of Sr2MgZn2Sn2P4O16. It was derived from DFT lattice parameters and positions (PBE), using a wavelength of 1.5418 Å.
No peak broadening, texture or thermal motion is included.

```
data_Sr2MgZn2Sn2P4O16
_space_group_name_H-M_alt 'P 1'
_space_group_IT_number 1
_cell_length_a 5.9339
_cell_length_b 7.4902
_cell_length_c 9.5553
_cell_angle_alpha 113.05
_cell_angle_beta 99.19
_cell_angle_gamma 92.51
loop_
_space_group_symop_operation_xyz
'x,y,z'
loop_
_atom_site_label
_atom_site_type_symbol
_atom_site_fract_x
_atom_site_fract_y
_atom_site_fract_z
Sr1 Sr 0.1599 0.3106 0.0371
Sr2 Sr 0.8401 0.6894 0.9629
Mg1 Mg 0.5000 0.0000 0.0000
Zn1 Zn 0.0206 0.2040 0.4282
Zn2 Zn 0.9794 0.7960 0.5718
Sn1 Sn 0.3898 0.6790 0.4728
Sn2 Sn 0.6102 0.3210 0.5272
P1 P 0.2274 0.5638 0.7650
P2 P 0.3743 0.9030 0.2218
P3 P 0.6257 0.0970 0.7782
P4 P 0.7726 0.4362 0.2350
O1 O 0.0126 0.6608 0.7205
O2 O 0.1722 0.5006 0.8903
O3 O 0.2078 0.9297 0.0892
O4 O 0.2574 0.3822 0.6179
O5 O 0.3147 0.7120 0.2425
O6 O 0.3446 0.0771 0.3788
O7 O 0.3839 0.0837 0.8190
O8 O 0.4509 0.7084 0.8227
O9 O 0.5491 0.2916 0.1773
O10 O 0.6161 0.9163 0.1810
O11 O 0.6554 0.9229 0.6212
O12 O 0.6853 0.2880 0.7575
O13 O 0.7426 0.6178 0.3821
O14 O 0.7922 0.0703 0.9108
O15 O 0.8278 0.4994 0.1097
O16 O 0.9874 0.3392 0.2795
```

Peak list (8 most intense, 2θ = 5–70°, low angle first)
2θ/deg, I_rel, hkl
10.3, 252, 0 0 1
12.9, 255, 0 1 0
20.6, 352, 0 0 2
25.9, 971, 0 2 -2
27.0, 1000, 1 1 1
32.0, 716, 2 -1 0
33.1, 296, -1 2 1
40.8, 298, 1 3 -1



[8]
The following is a simulated powder XRD pattern of Sr2MgZn2Sn2P4O16. It was derived from DFT lattice parameters and positions (PBE), using a wavelength of 1.5418 Å.
No peak broadening, texture or thermal motion is included.

```
data_Sr2MgZn2Sn2P4O16
_space_group_name_H-M_alt 'P 1'
_space_group_IT_number 1
_cell_length_a 5.4879
_cell_length_b 6.7192
_cell_length_c 11.6883
_cell_angle_alpha 104.68
_cell_angle_beta 93.20
_cell_angle_gamma 98.76
loop_
_space_group_symop_operation_xyz
'x,y,z'
loop_
_atom_site_label
_atom_site_type_symbol
_atom_site_fract_x
_atom_site_fract_y
_atom_site_fract_z
Sr1 Sr 0.0000 0.0000 0.0000
Sr2 Sr 0.4422 0.5945 0.0880
Mg1 Mg 0.0459 0.3350 0.2985
Zn1 Zn 0.3062 0.4806 0.5291
Zn2 Zn 0.3115 0.2612 0.7817
Sn1 Sn 0.4689 0.9356 0.3965
Sn2 Sn 0.9025 0.7065 0.6765
P1 P 0.4544 0.8169 0.8149
P2 P 0.5607 0.2005 0.2230
P3 P 0.8976 0.3904 0.8426
P4 P 0.9514 0.7950 0.2625
O1 O 0.0509 0.0276 0.3284
O2 O 0.0922 0.3524 0.9348
O3 O 0.1480 0.6625 0.2953
O4 O 0.2540 0.9373 0.7689
O5 O 0.3307 0.2882 0.1839
O6 O 0.4085 0.5885 0.7333
O7 O 0.4372 0.8363 0.9473
O8 O 0.4695 0.9631 0.2102
O9 O 0.6308 0.3335 0.8755
O10 O 0.6710 0.2963 0.3541
O11 O 0.7022 0.7139 0.3066
O12 O 0.7157 0.9251 0.7957
O13 O 0.7777 0.2375 0.1469
O14 O 0.9161 0.7535 0.1259
O15 O 0.9376 0.6272 0.8451
O16 O 0.9607 0.2680 0.7186
```

Peak list (8 most intense, 2θ = 5–70°, low angle first)
2θ/deg, I_rel, hkl
15.8, 279, 0 0 2
20.4, 281, 1 -1 1
23.7, 292, 0 1 2
26.5, 489, -1 1 2
28.2, 1000, 0 2 -2
31.2, 515, 1 1 2
33.2, 304, 2 0 0
33.7, 375, 2 -1 0



[9]
The following is a simulated powder XRD pattern of Sr2MgZn2Sn2P4O16. It was derived from DFT lattice parameters and positions (PBE), using a wavelength of 1.5418 Å.
No peak broadening, texture or thermal motion is included.

```
data_Sr2MgZn2Sn2P4O16
_space_group_name_H-M_alt 'P 1'
_space_group_IT_number 1
_cell_length_a 5.5680
_cell_length_b 7.7547
_cell_length_c 10.0896
_cell_angle_alpha 67.50
_cell_angle_beta 82.57
_cell_angle_gamma 88.29
loop_
_space_group_symop_operation_xyz
'x,y,z'
loop_
_atom_site_label
_atom_site_type_symbol
_atom_site_fract_x
_atom_site_fract_y
_atom_site_fract_z
Sr1 Sr 0.0000 0.0000 0.0000
Sr2 Sr 0.4351 0.4411 0.8925
Mg1 Mg 0.4378 0.2673 0.2297
Zn1 Zn 0.1220 0.9318 0.6312
Zn2 Zn 0.2125 0.5224 0.3707
Sn1 Sn 0.6196 0.5180 0.4713
Sn2 Sn 0.7515 0.8921 0.4728
P1 P 0.4234 0.9272 0.2176
P2 P 0.5714 0.0657 0.7303
P3 P 0.9016 0.3792 0.1980
P4 P 0.9947 0.5250 0.7112
O1 O 0.0150 0.4909 0.5675
O2 O 0.0172 0.3445 0.8449
O3 O 0.1643 0.4306 0.1236
O4 O 0.2006 0.8020 0.2337
O5 O 0.2069 0.6615 0.7017
O6 O 0.3985 0.1225 0.0941
O7 O 0.3979 0.9673 0.8669
O8 O 0.4091 0.9823 0.3568
O9 O 0.4834 0.0160 0.6037
O10 O 0.5568 0.2832 0.6841
O11 O 0.6648 0.8380 0.1967
O12 O 0.6954 0.4759 0.1096
O13 O 0.7549 0.6248 0.7253
O14 O 0.8411 0.0063 0.7495
O15 O 0.8410 0.1680 0.2508
O16 O 0.8980 0.4304 0.3379
```

Peak list (8 most intense, 2θ = 5–70°, low angle first)
2θ/deg, I_rel, hkl
9.6, 663, 0 0 1
24.9, 1000, 0 2 0
26.0, 840, -1 1 2
26.7, 370, 1 0 -2
31.4, 379, 1 0 3
32.7, 460, 2 0 1
32.8, 364, 1 2 3
35.1, 383, 0 3 1